Entry 1:
Calculated powder diffraction line list
Compound: NbCdFe2S
Radiation: Cu Kα X-rays
Structure: a DFT-relaxed cell (GGA-PBE, Alexandria)
Kinematic intensities with the Lorentz-polarization factor, no thermal factor.

Cell and atoms:
```
5
Lattice="4.061 0.000 0.000 0.000 4.061 0.000 0.000 0.000 4.952" Properties=species:S:1:pos:R:3 pbc="T T T"
Nb 0.000 0.000 0.000
Cd 2.031 2.031 0.000
Fe 0.000 2.031 2.476
Fe 2.031 0.000 2.476
S 2.031 2.031 2.476
```

Main lines, in order of rising 2θ (10° ≤ 2θ ≤ 90°):
- (1 0 0), 21.89 deg, I 6
- (1 1 0), 31.14 deg, I 13
- (1 1 1), 36.16 deg, I 100
- (0 0 2), 36.28 deg, I 37
- (2 0 0), 44.62 deg, I 40
- (1 1 2), 48.53 deg, I 9
- (2 0 2), 58.81 deg, I 34
- (2 2 0), 64.95 deg, I 12
- (1 1 3), 65.19 deg, I 16
- (2 2 2), 76.69 deg, I 35

***

Entry 2:
Calculated powder diffraction line list
Compound: CdFe2NiW
Radiation: Cu Kα X-rays
Structure: a DFT-relaxed cell (GGA-PBE, Alexandria)
Kinematic intensities with the Lorentz-polarization factor, no thermal factor.

Cell and atoms:
```
5
Lattice="4.433 0.000 0.000 0.000 4.433 0.000 0.000 0.000 5.236" Properties=species:S:1:pos:R:3 pbc="T T T"
Cd 0.000 0.000 0.000
Fe 0.000 2.216 2.618
Fe 2.216 0.000 2.618
Ni 2.216 2.216 0.000
W 0.000 0.000 2.618
```

Main lines, in order of rising 2θ (10° ≤ 2θ ≤ 90°):
- (1 0 0), 20.03 deg, I 100
- (1 0 1), 26.34 deg, I 34
- (1 1 0), 28.48 deg, I 47
- (0 0 2), 34.25 deg, I 57
- (1 0 2), 39.99 deg, I 35
- (2 0 0), 40.71 deg, I 71
- (1 1 2), 45.12 deg, I 27
- (2 1 0), 45.77 deg, I 24
- (2 0 2), 54.22 deg, I 59
- (2 2 2), 69.96 deg, I 27